Diffraction record for SrVCrO6. The powder diffraction line list is calculated, not measured: it uses the GGA+U geometry in Alexandria and Cu Kα, 1.54184 Å.
Lines closer than 0.1° are merged.

Structure:
Lattice parameters (Å, degrees): 4.9998 5.0281 5.4064 91.10 91.37 118.10
Fractional coordinates of all 9 atoms:
Sr 0.0000 0.0000 0.0000
V 0.3470 0.6845 0.4574
Cr 0.6691 0.3328 0.5428
O 0.0043 0.6319 0.3094
O 0.3872 0.0183 0.6987
O 0.3963 0.3933 0.3001
O 0.5965 0.6162 0.7083
O 0.6199 0.0074 0.3053
O 0.9960 0.3936 0.6983

Principal peaks in the range 2θ = 15–90°, by angle:
2theta, intensity
16.4, 12
25.6, 62
26.5, 100
26.6, 21
34.8, 15
35.7, 14
35.9, 12
45.4, 10
47.8, 15
49.1, 14
50.0, 21
50.3, 14

=====

Diffraction record for SrVCr2O8. The powder diffraction line list is calculated, not measured: it uses the GGA+U geometry in Alexandria and Cu Kα, 1.54184 Å.
Lines closer than 0.1° are merged.

Structure:
Lattice parameters (Å, degrees): 5.1373 5.1373 7.3429 93.02 93.02 66.14
Fractional coordinates of all 12 atoms:
Sr 0.0000 0.0000 0.0000
V 0.0000 0.0000 0.5000
Cr 0.3664 0.3664 0.7230
Cr 0.6336 0.6336 0.2770
O 0.2135 0.2135 0.5562
O 0.2188 0.7336 0.7000
O 0.2664 0.7812 0.3000
O 0.2923 0.2923 0.9261
O 0.7077 0.7077 0.0739
O 0.7336 0.2188 0.7000
O 0.7812 0.2664 0.3000
O 0.7865 0.7865 0.4438

Principal peaks in the range 2θ = 15–90°, by angle:
2theta, intensity
18.9, 29
20.7, 45
22.1, 26
22.8, 78
23.3, 43
30.4, 100
31.5, 59
31.9, 52
35.2, 70
56.0, 34
58.6, 22
61.1, 22

=====

Diffraction record for Sr3V2CrO8. The powder diffraction line list is calculated, not measured: it uses the GGA+U geometry in Alexandria and Cu Kα, 1.54184 Å.
Lines closer than 0.1° are merged.

Structure:
Lattice parameters (Å, degrees): 5.6454 5.6454 7.2261 90.00 90.00 120.00
Fractional coordinates of all 14 atoms:
Sr 0.0000 0.0000 0.0000
Sr 0.3333 0.6667 0.6375
Sr 0.6667 0.3333 0.3625
V 0.3333 0.6667 0.2061
V 0.6667 0.3333 0.7939
Cr 0.0000 0.0000 0.5000
O 0.1623 0.3247 0.3273
O 0.1623 0.8377 0.3273
O 0.3247 0.1623 0.6727
O 0.3333 0.6667 0.9598
O 0.6667 0.3333 0.0402
O 0.6753 0.8377 0.3273
O 0.8377 0.1623 0.6727
O 0.8377 0.6753 0.6727

Principal peaks in the range 2θ = 15–90°, by angle:
2theta, intensity
30.8, 68
31.7, 100
38.9, 13
41.8, 13
44.8, 45
54.1, 12
55.9, 25
56.5, 18
64.1, 12
66.2, 17
73.3, 10
74.8, 11

=====

Diffraction record for SrVCrO5. The powder diffraction line list is calculated, not measured: it uses the GGA+U geometry in Alexandria and Cu Kα, 1.54184 Å.
Lines closer than 0.1° are merged.

Structure:
Lattice parameters (Å, degrees): 5.7956 5.7956 7.3225 104.01 104.01 105.79
Fractional coordinates of all 16 atoms:
Sr 0.1772 0.8228 0.7500
Sr 0.8228 0.1772 0.2500
V 0.1848 0.8152 0.2500
V 0.8152 0.1848 0.7500
Cr 0.5000 0.5000 0.0000
Cr 0.5000 0.5000 0.5000
O 0.1200 0.2593 0.9105
O 0.1939 0.6083 0.3895
O 0.2593 0.1200 0.4105
O 0.3917 0.8061 0.1105
O 0.4315 0.5685 0.7500
O 0.5685 0.4315 0.2500
O 0.6083 0.1939 0.8895
O 0.7407 0.8800 0.5895
O 0.8061 0.3917 0.6105
O 0.8800 0.7407 0.0895

Principal peaks in the range 2θ = 15–90°, by angle:
2theta, intensity
26.4, 94
27.9, 99
29.9, 21
32.2, 100
33.0, 60
38.3, 20
41.2, 19
50.3, 20
50.7, 23
52.1, 35
55.8, 22
59.2, 24

=====

Diffraction record for TaVCr2O6. The powder diffraction line list is calculated, not measured: it uses the GGA+U geometry in Alexandria and Cu Kα, 1.54184 Å.
Lines closer than 0.1° are merged.

Structure:
Lattice parameters (Å, degrees): 5.2141 5.3134 5.5726 117.47 90.09 118.49
Fractional coordinates of all 10 atoms:
Ta 0.0000 0.0000 0.0000
V 0.5107 0.0145 0.5163
Cr 0.2055 0.4133 0.5995
Cr 0.7239 0.4406 0.1425
O 0.1303 0.9566 0.3154
O 0.2543 0.8747 0.7910
O 0.3899 0.5024 0.3076
O 0.6220 0.5559 0.8255
O 0.8157 0.2127 0.3126
O 0.9289 0.2199 0.8269

Principal peaks in the range 2θ = 15–90°, by angle:
2theta, intensity
18.7, 41
20.2, 100
20.5, 45
22.4, 44
23.4, 96
31.5, 71
31.8, 67
32.2, 59
33.3, 64
33.8, 59
34.4, 55
52.4, 44

=====

Diffraction record for TaZn2CrO6. The powder diffraction line list is calculated, not measured: it uses the GGA+U geometry in Alexandria and Cu Kα, 1.54184 Å.
Lines closer than 0.1° are merged.

Structure:
Lattice parameters (Å, degrees): 5.2468 7.6809 5.3201 90.00 90.89 90.00
Fractional coordinates of all 20 atoms:
Ta 0.0000 0.0000 0.0000
Ta 0.0000 0.5000 0.0000
Zn 0.0153 0.2500 0.4843
Zn 0.4960 0.7500 0.0453
Zn 0.5040 0.2500 0.9547
Zn 0.9847 0.7500 0.5157
Cr 0.5000 0.0000 0.5000
Cr 0.5000 0.5000 0.5000
O 0.1206 0.2500 0.0622
O 0.1708 0.5631 0.3202
O 0.1708 0.9369 0.3202
O 0.3193 0.5637 0.8241
O 0.3193 0.9363 0.8241
O 0.3855 0.2500 0.5795
O 0.6145 0.7500 0.4205
O 0.6807 0.0637 0.1759
O 0.6807 0.4363 0.1759
O 0.8292 0.0631 0.6798
O 0.8292 0.4369 0.6798
O 0.8794 0.7500 0.9378

Principal peaks in the range 2θ = 15–90°, by angle:
2theta, intensity
16.7, 23
16.9, 23
33.3, 68
33.6, 100
34.2, 31
47.3, 18
48.4, 14
49.2, 15
59.4, 16
59.7, 15
60.5, 16
61.0, 16